Diffraction record for Pr2Sb3H2Rh5. The PXRD pattern is calculated, not measured: it uses DFT lattice parameters and positions (GGA-PBE) and Cu Kα, 1.54184 Å.

```
Pr2Sb3H2Rh5
1.0
-2.116 2.116 11.513
2.116 -2.116 11.513
2.116 2.116 -11.513
Pr Sb H Rh
2 3 2 5
direct
0.195 0.195 0.000
0.805 0.805 0.000
0.340 0.340 0.000
0.500 0.500 0.000
0.660 0.660 0.000
0.079 0.079 0.000
0.921 0.921 0.000
0.000 0.000 0.000
0.084 0.584 0.500
0.416 0.916 0.500
0.584 0.084 0.500
0.916 0.416 0.500
```

Most intense lines, 2θ = 10–90°, in order of falling intensity:
- 2θ 38.14, 2.360 Å, I 100.0
- 2θ 42.74, 2.116 Å, I 48.1
- 2θ 75.20, 1.264 Å, I 26.6
- 2θ 34.54, 2.597 Å, I 18.1
- 2θ 62.04, 1.496 Å, I 15.6
- 2θ 33.76, 2.655 Å, I 15.6